This entry pairs a crystal structure of Th4AsH3Rh12 with its computed PXRD pattern. Radiation: Cu Kα (weighted mean of Kα1 and Kα2). Structure: a GGA-PBE-relaxed structure.

Largest 8 diffraction maxima, in order of rising 2θ, 10° ≤ 2θ ≤ 80°:
2θ (°)	I (rel.)
20.85	9.3
29.65	20.4
36.52	100.0
42.42	57.0
52.61	7.4
61.55	36.1
73.74	35.2
77.61	11.7

```
Th4AsH3Rh12
1.0
-4.2614 4.2614 4.2614
4.2614 -4.2614 4.2614
4.2614 4.2614 -4.2614
Th As H Rh
4 1 3 12
Direct
0.0000 0.0000 0.5000
0.0000 0.5000 0.0000
0.5000 0.0000 0.0000
0.5000 0.5000 0.5000
0.0000 0.0000 0.0000
0.0000 0.5000 0.5000
0.5000 0.0000 0.5000
0.5000 0.5000 0.0000
0.0000 0.2776 0.2776
0.0000 0.7224 0.7224
0.2500 0.5000 0.7500
0.2500 0.7500 0.5000
0.2776 0.0000 0.2776
0.2776 0.2776 0.0000
0.5000 0.2500 0.7500
0.5000 0.7500 0.2500
0.7224 0.0000 0.7224
0.7224 0.7224 0.0000
0.7500 0.2500 0.5000
0.7500 0.5000 0.2500
```